The following is a computed powder XRD pattern of Zr2S. It was derived from a cell relaxed with PBE, using Cu Kα.

Most intense lines, 5° ≤ 2θ ≤ 70°, in order of falling intensity:
- (2 4 1), 2θ 37.34, rel. 100
- (0 6 0), 2θ 35.10, rel. 85
- (3 3 1), 2θ 37.65, rel. 83
- (3 0 1), 2θ 33.15, rel. 54
- (3 5 0), 2θ 36.48, rel. 47
- (0 0 2), 2θ 51.15, rel. 45
- (0 5 1), 2θ 38.71, rel. 44
- (2 2 1), 2θ 31.16, rel. 38
- (5 1 0), 2θ 36.70, rel. 34
- (5 2 0), 2θ 38.12, rel. 28
- (4 2 1), 2θ 40.27, rel. 25
- (5 1 2), 2θ 64.64, rel. 24

Structural model:
Cell: 12.4037 15.3300 3.5716 Å, 90.00 90.00 90.00°
Space group Pnnm (No. 58)
Symmetry-distinct sites (fractional):
1 Zr 0.0298 0.1100 0.0000 (multiplicity 4)
2 Zr 0.0815 0.7501 0.5000 (multiplicity 4)
3 Zr 0.0905 0.5818 0.0000 (multiplicity 4)
4 Zr 0.1212 0.4197 0.5000 (multiplicity 4)
5 Zr 0.1577 0.9780 0.5000 (multiplicity 4)
6 Zr 0.1939 0.2076 0.5000 (multiplicity 4)
7 S 0.0702 0.2928 0.0000 (multiplicity 4)
8 S 0.1850 0.8500 0.0000 (multiplicity 4)
9 S 0.2492 0.5850 0.5000 (multiplicity 4)